(1)
Structure and computed XRD peak list of BaNiAu4 (DFT lattice parameters and positions (GGA-PBE); λ = 1.5418 Å (Cu Kα)).

Structure:
```
6
Lattice="0.0000 4.0202 4.0202 4.0202 0.0000 4.0202 4.0202 4.0202 0.0000" Properties=species:S:1:pos:R:3 pbc="T T T"
Ba 0.0000 0.0000 0.0000
Ni 6.0303 6.0303 6.0303
Au 3.0237 3.0237 3.0237
Au 5.0167 5.0167 3.0237
Au 5.0167 3.0237 5.0167
Au 3.0237 5.0167 5.0167
```

Peak list (10 most intense, 10 to 90 degrees two-theta, in order of falling intensity)
d (Å), Rel. int.
2.424, 100
2.321, 65
4.642, 39
1.547, 34
1.421, 32
1.212, 26
2.010, 18
1.226, 12
1.845, 11
2.843, 10



(2)
Structure and computed XRD peak list of Pm4Pr7Th (DFT lattice parameters and positions (GGA-PBE); λ = 1.5418 Å (Cu Kα)).

Structure:
```
12
Lattice="6.4245 0.0000 0.0000 0.0007 7.4278 0.0000 2.1633 0.0135 8.9107" Properties=species:S:1:pos:R:3 pbc="T T T"
Pm 2.1519 7.4321 2.9886
Pm 3.2150 5.5646 5.9902
Pm 5.3736 1.8767 2.9206
Pm 6.4367 0.0092 5.9221
Pr 0.0000 0.0000 0.0000
Pr 2.1138 3.7165 2.9144
Pr 3.2215 1.8862 5.9807
Pr 3.2133 1.8901 0.0070
Pr 5.3752 5.5512 8.9038
Pr 5.3671 5.5551 2.9301
Pr 6.4747 3.7248 5.9964
Th 0.0003 3.7139 0.0000
```

Peak list (10 most intense, 10 to 90 degrees two-theta, in order of falling intensity)
d (Å), Rel. int.
2.897, 100
2.757, 55
2.970, 48
3.191, 38
1.856, 37
1.575, 29
2.751, 27
1.733, 16
1.572, 14
1.539, 14



(3)
Structure and computed XRD peak list of RbNpTe4 (DFT lattice parameters and positions (GGA-PBE); λ = 1.5418 Å (Cu Kα)).

Structure:
```
12
Lattice="6.8706 0.0000 0.0000 0.0000 6.8706 0.0000 0.0000 0.0000 9.2523" Properties=species:S:1:pos:R:3 pbc="T T T"
Rb 1.7176 1.7176 0.0000
Rb 5.1529 5.1529 0.0000
Np 1.7176 1.7176 4.6262
Np 5.1529 5.1529 4.6262
Te 0.6990 4.1342 2.7910
Te 0.6990 6.1716 6.4614
Te 2.7363 4.1342 6.4614
Te 2.7363 6.1716 2.7910
Te 4.1342 0.6990 6.4614
Te 4.1342 2.7363 2.7910
Te 6.1716 0.6990 2.7910
Te 6.1716 2.7363 6.4614
```

Peak list (10 most intense, 10 to 90 degrees two-theta, in order of falling intensity)
d (Å), Rel. int.
3.350, 100
2.916, 87
2.173, 65
2.758, 53
1.849, 33
2.559, 25
1.610, 24
1.528, 21
2.604, 21
1.584, 17



(4)
Structure and computed XRD peak list of La2Er15Tm2 (DFT lattice parameters and positions (GGA-PBE); λ = 1.5418 Å (Cu Kα)).

Structure:
```
19
Lattice="5.5582 3.2091 5.8266 -5.5582 3.2091 5.8266 0.0000 -6.4181 5.8266" Properties=species:S:1:pos:R:3 pbc="T T T"
La 0.0000 0.0000 2.0543
La 0.0000 0.0000 15.4256
Er -5.5582 0.0000 8.7400
Er -1.7044 -3.4660 5.8266
Er -2.7791 1.6045 2.9133
Er -3.8538 0.2569 5.8266
Er -2.6475 -1.5285 8.2492
Er 1.7044 -3.4660 5.8266
Er -2.1494 3.2091 5.8266
Er 0.0000 -3.0571 9.2307
Er -2.6475 1.5285 9.2307
Er 2.7791 1.6045 2.9133
Er 2.6475 -1.5285 8.2492
Er 0.0000 3.0570 8.2492
Er 3.8539 0.2569 5.8266
Er 2.1494 3.2091 5.8266
Er 2.6475 1.5285 9.2307
Tm 0.0000 0.0000 5.7622
Tm 0.0000 0.0000 11.7177
```

Peak list (10 most intense, 10 to 90 degrees two-theta, in order of falling intensity)
d (Å), Rel. int.
2.811, 100
2.508, 80
2.779, 53
2.829, 45
2.913, 38
3.236, 31
3.209, 31
1.605, 29
1.662, 25
1.766, 19



(5)
Structure and computed XRD peak list of P7Rh12 (DFT lattice parameters and positions (GGA-PBE); λ = 1.5418 Å (Cu Kα)).

Structure:
```
19
Lattice="9.1575 0.0000 0.0000 -4.5787 7.9306 0.0000 0.0000 0.0000 3.5349" Properties=species:S:1:pos:R:3 pbc="T T T"
P 0.0000 0.0000 0.0000
P -0.5423 3.5216 1.7675
P -1.2577 6.6395 1.7675
P 2.7534 2.2579 0.0000
P 1.8001 5.7001 1.7675
P 5.8254 1.2556 0.0000
P 5.1574 4.4171 0.0000
Rh -1.0214 2.0034 0.0000
Rh -1.6064 4.8736 0.0000
Rh -2.3330 7.8134 0.0000
Rh 1.1454 1.8123 1.7675
Rh 1.1613 4.1026 0.0000
Rh 0.4451 6.8850 0.0000
Rh 4.0654 1.1060 1.7675
Rh 3.5039 3.8569 1.7675
Rh 3.3544 6.0443 0.0000
Rh 7.0153 0.0858 1.7675
Rh 6.1670 2.9677 1.7675
Rh 5.5755 6.0325 1.7675
```

Peak list (10 most intense, 10 to 90 degrees two-theta, in order of falling intensity)
d (Å), Rel. int.
2.286, 100
2.200, 30
2.117, 19
1.195, 16
1.767, 15
3.229, 15
1.730, 14
1.378, 13
1.922, 10
1.097, 9



(6)
Structure and computed XRD peak list of NpP3O12 (DFT lattice parameters and positions (GGA-PBE); λ = 1.5418 Å (Cu Kα)).

Structure:
```
32
Lattice="4.1480 2.3949 7.8020 -4.1480 2.3949 7.8020 0.0000 -4.7897 7.8020" Properties=species:S:1:pos:R:3 pbc="T T T"
Np 0.0000 0.0000 0.0000
Np 0.0000 0.0000 11.7030
P -1.0951 -2.1990 9.0500
P -2.7912 -0.3470 12.9510
P -1.3569 2.0479 9.0500
P 1.6961 -2.2437 12.9510
P 2.4519 0.1511 9.0500
P 1.0951 2.5907 12.9510
O -1.7397 0.8832 4.8750
O 0.1050 -1.9482 4.8750
O -2.3275 -1.1708 11.7304
O -2.9569 -1.3246 14.1779
O -0.1498 -2.1886 7.8294
O -1.8205 1.2241 7.8294
O -2.6548 -1.8625 17.0926
O -0.3313 -1.5667 10.2769
O -1.1911 1.0703 10.2769
O -1.4932 0.5324 13.1915
O 1.6347 1.0650 4.8750
O 0.2855 -1.5593 13.1915
O -0.1050 -1.9482 16.5780
O -1.6347 1.0650 16.5780
O 1.9703 0.9646 7.8294
O 1.5224 0.4964 10.2769
O 2.1777 -1.4303 11.7304
O 0.1498 2.6011 11.7304
O 1.2077 1.0269 13.1915
O 2.6256 -1.8985 14.1779
O 0.3313 3.2230 14.1779
O -0.2855 3.2304 17.0925
O 1.7397 0.8832 16.5780
O 2.9403 -1.3679 17.0925
```

Peak list (10 most intense, 10 to 90 degrees two-theta, in order of falling intensity)
d (Å), Rel. int.
6.123, 100
4.537, 35
2.842, 26
2.645, 18
3.061, 18
3.434, 18
2.463, 17
1.990, 15
4.148, 14
1.964, 13